No. 1
This entry pairs a crystal structure of Li3MnP2 with its simulated powder diffraction line list. Radiation: Cu Kα X-rays. Structure: a structure optimized by DFT (GGA-PBE).

The 12 most intense peaks (15 to 90 degrees two-theta), low angle first:
2θ 15.28, d = 5.797 Å, rel. 78.6
2θ 17.16, d = 5.167 Å, rel. 13.6
2θ 18.80, d = 4.719 Å, rel. 21.3
2θ 23.08, d = 3.853 Å, rel. 31.0
2θ 26.71, d = 3.338 Å, rel. 100.0
2θ 31.90, d = 2.805 Å, rel. 14.7
2θ 44.28, d = 2.045 Å, rel. 87.6
2θ 44.38, d = 2.041 Å, rel. 44.6
2θ 47.21, d = 1.925 Å, rel. 15.0
2θ 52.55, d = 1.741 Å, rel. 24.8
2θ 57.38, d = 1.606 Å, rel. 13.0
2θ 81.64, d = 1.179 Å, rel. 25.5

a = 11.5373 Å, b = 11.5947 Å, c = 5.7787 Å
α = 90.00°, β = 90.00°, γ = 90.00°
Space group P222_1 (No. 17)
One atom of each set of equivalent atoms:
Li 0.1243 0.2453 0.0048
Li 0.1253 0.0000 0.0000
Li 0.1250 0.2526 0.5020
Li 0.1303 0.5000 0.5000
Li 0.3695 0.5000 0.5000
Li 0.3755 0.0000 0.5000
Li 0.3751 0.2492 0.5018
Li 0.3759 0.2484 0.0050
Mn 0.1189 0.5000 0.0000
Mn 0.1250 0.0000 0.5000
Mn 0.3750 0.0000 0.0000
Mn 0.3807 0.5000 0.0000
P 0.0000 0.1139 0.7500
P 0.0000 0.3868 0.2500
P 0.2495 0.1140 0.2537
P 0.2500 0.3866 0.7835
P 0.5000 0.1146 0.7500
P 0.5000 0.3872 0.2500

No. 2
This entry pairs a crystal structure of LiMnP with its simulated powder diffraction line list. Radiation: Cu Kα X-rays. Structure: a structure optimized by DFT (GGA-PBE).

The 12 most intense peaks (15 to 90 degrees two-theta), low angle first:
2θ 15.38, d = 5.762 Å, rel. 100.0
2θ 28.06, d = 3.180 Å, rel. 25.7
2θ 33.22, d = 2.697 Å, rel. 8.1
2θ 36.80, d = 2.442 Å, rel. 25.7
2θ 46.11, d = 1.969 Å, rel. 51.4
2θ 47.69, d = 1.907 Å, rel. 24.5
2θ 50.41, d = 1.810 Å, rel. 16.0
2θ 56.25, d = 1.635 Å, rel. 6.1
2θ 59.05, d = 1.564 Å, rel. 13.8
2θ 69.75, d = 1.348 Å, rel. 8.2
2θ 84.25, d = 1.149 Å, rel. 6.6
2θ 87.73, d = 1.112 Å, rel. 14.7

a = 3.8138 Å, b = 3.8138 Å, c = 5.7615 Å
α = 90.00°, β = 90.00°, γ = 90.00°
Space group P4/nmm (No. 129, origin choice 2)
One atom of each set of equivalent atoms:
Li 0.2500 0.7500 0.0000
Mn 0.2500 0.7500 0.5000
P 0.2500 0.2500 0.2839

No. 3
This entry pairs a crystal structure of Li3MnP2 with its simulated powder diffraction line list. Radiation: Cu Kα X-rays. Structure: a structure optimized by DFT (GGA-PBE).

The 12 most intense peaks (15 to 90 degrees two-theta), low angle first:
2θ 15.82, d = 5.602 Å, rel. 77.8
2θ 23.82, d = 3.736 Å, rel. 67.2
2θ 27.57, d = 3.235 Å, rel. 65.5
2θ 32.96, d = 2.718 Å, rel. 28.6
2θ 35.83, d = 2.506 Å, rel. 11.2
2θ 45.80, d = 1.981 Å, rel. 100.0
2θ 48.75, d = 1.868 Å, rel. 14.6
2θ 52.26, d = 1.750 Å, rel. 13.8
2θ 54.30, d = 1.690 Å, rel. 21.3
2θ 59.49, d = 1.554 Å, rel. 14.9
2θ 66.78, d = 1.401 Å, rel. 14.3
2θ 84.75, d = 1.144 Å, rel. 26.7

a = 3.9627 Å, b = 3.9627 Å, c = 11.2036 Å
α = 90.00°, β = 90.00°, γ = 90.00°
Space group P4_2/nmc (No. 137, origin choice 2)
One atom of each set of equivalent atoms:
Li 0.2500 0.7500 0.0007
Li 0.2500 0.7500 0.2500
Mn 0.2500 0.7500 0.7500
P 0.2500 0.2500 0.1447

No. 4
This entry pairs a crystal structure of Li3MnP2 with its simulated powder diffraction line list. Radiation: Cu Kα X-rays. Structure: a structure optimized by DFT (GGA-PBE).

The 12 most intense peaks (15 to 90 degrees two-theta), low angle first:
2θ 15.75, d = 5.626 Å, rel. 69.9
2θ 22.46, d = 3.958 Å, rel. 34.8
2θ 27.55, d = 3.237 Å, rel. 100.0
2θ 35.84, d = 2.506 Å, rel. 10.1
2θ 39.29, d = 2.293 Å, rel. 20.1
2θ 45.73, d = 1.984 Å, rel. 57.6
2θ 45.85, d = 1.979 Å, rel. 31.9
2θ 48.78, d = 1.867 Å, rel. 12.9
2θ 54.11, d = 1.695 Å, rel. 9.8
2θ 54.33, d = 1.688 Å, rel. 25.5
2θ 59.32, d = 1.558 Å, rel. 13.3
2θ 84.78, d = 1.144 Å, rel. 17.7

a = 3.9580 Å, b = 3.9580 Å, c = 5.6262 Å
α = 90.00°, β = 90.00°, γ = 90.00°
Space group P-4m2 (No. 115)
One atom of each set of equivalent atoms:
Li 0.0000 0.0000 0.0000
Li 0.0000 0.0000 0.5000
Li 0.5000 0.5000 0.0000
Mn 0.5000 0.5000 0.5000
P 0.0000 0.5000 0.7109

No. 5
This entry pairs a crystal structure of LiMnP with its simulated powder diffraction line list. Radiation: Cu Kα X-rays. Structure: a structure optimized by DFT (GGA-PBE).

The 12 most intense peaks (15 to 90 degrees two-theta), low angle first:
2θ 28.53, d = 3.129 Å, rel. 38.3
2θ 37.95, d = 2.371 Å, rel. 72.6
2θ 44.16, d = 2.051 Å, rel. 9.1
2θ 46.03, d = 1.972 Å, rel. 100.0
2θ 50.22, d = 1.817 Å, rel. 42.2
2θ 52.52, d = 1.742 Å, rel. 28.1
2θ 57.50, d = 1.603 Å, rel. 25.5
2θ 60.16, d = 1.538 Å, rel. 8.4
2θ 73.76, d = 1.285 Å, rel. 12.5
2θ 75.63, d = 1.257 Å, rel. 8.6
2θ 82.10, d = 1.174 Å, rel. 13.3
2θ 86.09, d = 1.129 Å, rel. 11.0

a = 3.6332 Å, b = 3.6332 Å, c = 6.1529 Å
α = 90.00°, β = 90.00°, γ = 90.00°
Space group P4/nmm (No. 129, origin choice 2)
One atom of each set of equivalent atoms:
Li 0.2500 0.2500 0.1491
Mn 0.2500 0.7500 0.5000
P 0.2500 0.2500 0.7285

No. 6
This entry pairs a crystal structure of Li2MnSnS4 with its simulated powder diffraction line list. Radiation: Cu Kα X-rays. Structure: a structure optimized by DFT (GGA-PBE).

The 12 most intense peaks (15 to 90 degrees two-theta), low angle first:
2θ 16.96, d = 5.229 Å, rel. 81.5
2θ 17.56, d = 5.050 Å, rel. 100.0
2θ 21.84, d = 4.070 Å, rel. 26.4
2θ 25.64, d = 3.474 Å, rel. 60.6
2θ 25.91, d = 3.439 Å, rel. 34.8
2θ 27.51, d = 3.242 Å, rel. 55.2
2θ 29.22, d = 3.056 Å, rel. 23.5
2θ 43.33, d = 2.088 Å, rel. 23.6
2θ 45.04, d = 2.013 Å, rel. 27.8
2θ 45.53, d = 1.992 Å, rel. 51.2
2θ 49.57, d = 1.839 Å, rel. 25.0
2θ 49.80, d = 1.831 Å, rel. 47.9

a = 6.4850 Å, b = 6.8773 Å, c = 10.3106 Å
α = 90.00°, β = 128.67°, γ = 90.00°
Space group Pc (No. 7)
One atom of each set of equivalent atoms:
Li 0.0000 0.1617 0.0000
Li 0.7587 0.3313 0.2558
Mn 0.2586 0.3289 0.7577
Sn 0.5038 0.1717 0.5029
S 0.1379 0.3387 0.2557
S 0.3832 0.1623 0.0032
S 0.6211 0.3328 0.7506
S 0.8836 0.1761 0.5089

No. 7
This entry pairs a crystal structure of Li2MnSnS4 with its simulated powder diffraction line list. Radiation: Cu Kα X-rays. Structure: a structure optimized by DFT (GGA-PBE).

The 12 most intense peaks (15 to 90 degrees two-theta), low angle first:
2θ 16.89, d = 5.249 Å, rel. 83.2
2θ 17.59, d = 5.043 Å, rel. 100.0
2θ 18.77, d = 4.728 Å, rel. 42.8
2θ 25.55, d = 3.487 Å, rel. 74.8
2θ 25.80, d = 3.453 Å, rel. 43.1
2θ 27.64, d = 3.227 Å, rel. 67.7
2θ 29.11, d = 3.068 Å, rel. 56.7
2θ 32.57, d = 2.749 Å, rel. 32.6
2θ 44.88, d = 2.020 Å, rel. 35.7
2θ 45.35, d = 2.000 Å, rel. 61.4
2θ 49.80, d = 1.831 Å, rel. 59.9
2θ 53.94, d = 1.700 Å, rel. 38.3

a = 13.8111 Å, b = 8.0796 Å, c = 6.4539 Å
α = 90.00°, β = 90.00°, γ = 90.00°
Space group Pna2_1 (No. 33)
One atom of each set of equivalent atoms:
Li 0.0795 0.2449 0.0000
Li 0.1648 0.0004 0.5023
Mn 0.1658 0.4936 0.4907
Sn 0.0864 0.7441 0.9918
S 0.0801 0.2517 0.6140
S 0.0899 0.7427 0.6140
S 0.1667 0.4972 0.1179
S 0.1692 0.9916 0.1142

No. 8
This entry pairs a crystal structure of LiMnSb2 with its simulated powder diffraction line list. Radiation: Cu Kα X-rays. Structure: a structure optimized by DFT (GGA-PBE).

The 12 most intense peaks (15 to 90 degrees two-theta), low angle first:
2θ 16.58, d = 5.347 Å, rel. 63.3
2θ 28.43, d = 3.140 Å, rel. 100.0
2θ 33.09, d = 2.708 Å, rel. 47.1
2θ 33.52, d = 2.673 Å, rel. 32.1
2θ 40.63, d = 2.220 Å, rel. 37.6
2θ 44.17, d = 2.051 Å, rel. 21.2
2θ 44.51, d = 2.036 Å, rel. 57.4
2θ 53.66, d = 1.708 Å, rel. 32.5
2θ 58.82, d = 1.570 Å, rel. 12.2
2θ 66.60, d = 1.404 Å, rel. 16.6
2θ 69.42, d = 1.354 Å, rel. 14.6
2θ 76.65, d = 1.243 Å, rel. 22.0

a = 3.1399 Å, b = 3.1399 Å, c = 10.6933 Å
α = 90.00°, β = 90.00°, γ = 90.00°
Space group P4/mmm (No. 123)
One atom of each set of equivalent atoms:
Li 0.0000 0.0000 0.0000
Mn 0.0000 0.0000 0.5000
Sb 0.0000 0.0000 0.2525

No. 9
This entry pairs a crystal structure of Li4MnSn2Se7 with its simulated powder diffraction line list. Radiation: Cu Kα X-rays. Structure: a structure optimized by DFT (GGA-PBE).

The 12 most intense peaks (15 to 90 degrees two-theta), low angle first:
2θ 15.48, d = 5.723 Å, rel. 39.3
2θ 24.22, d = 3.674 Å, rel. 44.7
2θ 24.49, d = 3.635 Å, rel. 100.0
2θ 26.11, d = 3.413 Å, rel. 93.7
2θ 27.61, d = 3.231 Å, rel. 78.5
2θ 27.96, d = 3.191 Å, rel. 46.3
2θ 42.78, d = 2.114 Å, rel. 83.6
2θ 43.27, d = 2.091 Å, rel. 42.3
2θ 46.84, d = 1.940 Å, rel. 38.8
2θ 46.97, d = 1.934 Å, rel. 41.9
2θ 47.41, d = 1.917 Å, rel. 39.2
2θ 50.63, d = 1.803 Å, rel. 31.7

a = 18.4053 Å, b = 7.3489 Å, c = 10.8746 Å
α = 90.00°, β = 93.24°, γ = 90.00°
Space group Cc (No. 9)
One atom of each set of equivalent atoms:
Li 0.0000 0.1506 0.0000
Li 0.0706 0.3137 0.3621
Li 0.2120 0.3271 0.0768
Li 0.3539 0.3286 0.7793
Mn 0.2837 0.1471 0.4234
Sn 0.1429 0.1559 0.7027
Sn 0.4256 0.1691 0.1346
Se 0.0367 0.3390 0.7999
Se 0.1033 0.1681 0.1621
Se 0.1822 0.3346 0.5144
Se 0.2452 0.1763 0.8732
Se 0.3209 0.3294 0.2377
Se 0.3911 0.1611 0.5809
Se 0.4593 0.3334 0.9428

No. 10
This entry pairs a crystal structure of LiMnTe2 with its simulated powder diffraction line list. Radiation: Cu Kα X-rays. Structure: a structure optimized by DFT (GGA-PBE).

The 12 most intense peaks (15 to 90 degrees two-theta), low angle first:
2θ 24.23, d = 3.673 Å, rel. 43.4
2θ 24.68, d = 3.607 Å, rel. 30.0
2θ 27.25, d = 3.273 Å, rel. 100.0
2θ 34.87, d = 2.573 Å, rel. 25.9
2θ 42.64, d = 2.120 Å, rel. 37.7
2θ 45.07, d = 2.012 Å, rel. 46.3
2θ 49.89, d = 1.828 Å, rel. 26.3
2θ 51.34, d = 1.780 Å, rel. 17.3
2θ 63.78, d = 1.459 Å, rel. 16.0
2θ 68.28, d = 1.374 Å, rel. 8.7
2θ 68.88, d = 1.363 Å, rel. 14.2
2θ 79.77, d = 1.202 Å, rel. 18.3

a = 4.2407 Å, b = 4.2407 Å, c = 7.2135 Å
α = 90.00°, β = 90.00°, γ = 120.00°
Space group P3m1 (No. 156)
One atom of each set of equivalent atoms:
Li 0.0000 0.0000 0.0000
Mn 0.3333 0.6667 0.5518
Te 0.3333 0.6667 0.2003
Te 0.6667 0.3333 0.7127

No. 11
This entry pairs a crystal structure of Li3Mo with its simulated powder diffraction line list. Radiation: Cu Kα X-rays. Structure: a structure optimized by DFT (GGA-PBE).

The 12 most intense peaks (15 to 90 degrees two-theta), low angle first:
2θ 22.14, d = 4.015 Å, rel. 100.0
2θ 31.51, d = 2.839 Å, rel. 81.4
2θ 38.85, d = 2.318 Å, rel. 45.1
2θ 45.16, d = 2.008 Å, rel. 21.7
2θ 50.85, d = 1.796 Å, rel. 40.3
2θ 56.11, d = 1.639 Å, rel. 29.7
2θ 65.78, d = 1.420 Å, rel. 13.8
2θ 70.34, d = 1.338 Å, rel. 18.8
2θ 74.77, d = 1.270 Å, rel. 12.8
2θ 79.11, d = 1.211 Å, rel. 16.3
2θ 83.38, d = 1.159 Å, rel. 4.8
2θ 87.62, d = 1.114 Å, rel. 8.9

a = 4.0152 Å, b = 4.0152 Å, c = 4.0152 Å
α = 90.00°, β = 90.00°, γ = 90.00°
Space group Pm-3m (No. 221)
One atom of each set of equivalent atoms:
Li 0.0000 0.0000 0.5000
Mo 0.5000 0.5000 0.5000